For KYGeS4, a PBE-relaxed structure gives the simulated X-ray powder pattern in this record (CuKα).

Structural model:
```
data_KYGeS4
_cell_length_a 6.5421
_cell_length_b 6.7119
_cell_length_c 8.7046
_cell_angle_alpha 90.00
_cell_angle_beta 107.32
_cell_angle_gamma 90.00
_symmetry_space_group_name_H-M 'P 1 21 1'
_symmetry_Int_Tables_number 4
_symmetry_space_group_name_Hall 'P 2yb'
loop_
_atom_site_label
_atom_site_fract_x
_atom_site_fract_y
_atom_site_fract_z
_atom_site_occupancy
K1 0.2332 0.0000 0.4346 1
Y1 0.2716 0.0182 0.9491 1
Ge1 0.2748 0.4833 0.1745 1
S1 0.0660 0.4146 0.9269 1
S2 0.0694 0.4813 0.3337 1
S3 0.4750 0.7455 0.7806 1
S4 0.4823 0.7540 0.2014 1
```

Largest 8 diffraction maxima, sorted by position, 15° ≤ 2θ ≤ 90°:
- 2θ = 16.98°, I 100
- 2θ = 25.21°, I 39
- 2θ = 26.56°, I 69
- 2θ = 30.24°, I 64
- 2θ = 32.11°, I 97
- 2θ = 33.13°, I 88
- 2θ = 39.42°, I 69
- 2θ = 41.52°, I 37